Structure and simulated X-ray diffraction stick pattern of CuSiGe3 (the GGA-PBE geometry in Alexandria; CuKα).
Neutral-atom scattering factors, no anomalous dispersion.

Top 10 peaks for 2θ = 10–80°, by intensity:
2θ/deg	d_spacing	I/Imax	(hkl)
38.5	2.339	100	2 0 0
19.0	4.677	76	1 0 0
55.6	1.654	66	2 2 0
33.2	2.700	66	1 1 1
43.3	2.092	37	2 1 0
66.3	1.410	26	3 1 1
69.6	1.350	22	2 2 2
59.3	1.559	17	3 0 0
72.9	1.297	7	3 2 0
27.0	3.307	3	1 1 0

Atomic structure:
```
5
Lattice="4.677 0.000 0.000 0.000 4.677 0.000 0.000 0.000 4.677" Properties=species:S:1:pos:R:3 pbc="T T T"
Cu 0.000 0.000 0.000
Si 2.339 2.339 2.339
Ge 0.000 0.000 2.339
Ge 0.000 2.339 0.000
Ge 2.339 0.000 0.000
```